Record 1
Nd2BPd2Pt4: theoretical PXRD pattern (Cu Ka), based on a crystal structure in Alexandria, relaxed with PBE.
Peak positions follow from Bragg's law for the DFT cell and can differ from measured ones.

Main lines, most intense first (2θ = 10–90°):
(hkl), 2θ (°), d_spacing, I_rel
2 0 2, 36.4, 2.470, 100
2 2 0, 43.0, 2.105, 32
4 2 2, 74.4, 1.275, 25
2 2 4, 60.7, 1.525, 23
0 0 4, 40.8, 2.212, 19
2 0 6, 71.4, 1.322, 14
4 0 4, 77.2, 1.235, 11
4 0 0, 62.4, 1.489, 11
0 0 2, 20.1, 4.425, 5
2 0 0, 30.0, 2.978, 3
2 2 2, 47.8, 1.901, 2
0 0 8, 88.4, 1.106, 2

Crystal structure
```
data_Nd2BPd2Pt4
_chemical_formula_sum 'Nd4 B2 Pd4 Pt8'
_space_group_name_H-M_alt 'I 4/m m m'
_space_group_IT_number 139
_space_group_name_Hall '-I 4 2'
_cell_length_a 5.9552
_cell_length_b 5.9552
_cell_length_c 8.8492
_cell_angle_alpha 90.00
_cell_angle_beta 90.00
_cell_angle_gamma 90.00
loop_
_atom_site_label
_atom_site_fract_x
_atom_site_fract_y
_atom_site_fract_z
Nd1 0.0000 0.5000 0.2500
B1 0.0000 0.0000 0.0000
Pd1 0.0000 0.0000 0.2603
Pt1 0.2451 0.2451 0.5000
```



Record 2
Pm2PrSnN4: theoretical PXRD pattern (Cu Ka), based on a crystal structure in Alexandria, relaxed with PBE.
Peak positions follow from Bragg's law for the DFT cell and can differ from measured ones.

Main lines, most intense first (2θ = 10–90°):
(hkl), 2θ (°), d_spacing, I_rel
1 1 2, 29.3, 3.046, 100
1 3 2, 36.2, 2.479, 87
0 4 0, 29.6, 3.015, 51
0 0 4, 28.9, 3.088, 46
0 4 4, 41.9, 2.157, 30
1 5 2, 47.5, 1.914, 24
0 2 3, 26.2, 3.400, 24
2 0 4, 58.6, 1.575, 20
2 0 0, 49.8, 1.830, 19
0 6 3, 50.5, 1.808, 19
1 3 1, 33.9, 2.643, 16
2 4 0, 59.1, 1.564, 15

Crystal structure
```
data_Pm2PrSnN4
_chemical_formula_sum 'Pm8 Pr4 Sn4 N16'
_space_group_name_H-M_alt 'C m c m'
_space_group_IT_number 63
_space_group_name_Hall '-C 2c 2'
_cell_length_a 3.6596
_cell_length_b 12.0588
_cell_length_c 12.3525
_cell_angle_alpha 90.00
_cell_angle_beta 90.00
_cell_angle_gamma 90.00
loop_
_atom_site_label
_atom_site_fract_x
_atom_site_fract_y
_atom_site_fract_z
Pm1 0.0000 0.1290 0.0369
Pr1 0.0000 0.3875 0.2500
Sn1 0.0000 0.3491 0.7500
N1 0.0000 0.0558 0.2500
N2 0.0000 0.2292 0.6260
N3 0.0000 0.5000 0.0000
```



Record 3
Gd2B3C2: theoretical PXRD pattern (Cu Ka), based on a crystal structure in Alexandria, relaxed with PBE.
Peak positions follow from Bragg's law for the DFT cell and can differ from measured ones.

Main lines, most intense first (2θ = 10–90°):
(hkl), 2θ (°), d_spacing, I_rel
1 1 -1, 36.3, 2.478, 100
0 0 2, 26.0, 3.430, 99
0 1 0, 24.0, 3.712, 88
0 1 2, 35.6, 2.519, 87
1 0 -1, 26.8, 3.328, 61
1 1 1, 40.8, 2.210, 47
1 1 -2, 41.0, 2.203, 45
1 0 1, 32.5, 2.751, 38
1 0 -2, 32.7, 2.738, 36
2 1 -1, 59.4, 1.557, 31
0 2 0, 49.1, 1.857, 31
2 0 -1, 53.4, 1.715, 31

Crystal structure
```
data_Gd2B3C2
_chemical_formula_sum 'Gd2 B3 C2'
_space_group_name_H-M_alt 'P 1 2/m 1'
_space_group_IT_number 10
_space_group_name_Hall '-P 2y'
_cell_length_a 3.4306
_cell_length_b 3.7124
_cell_length_c 7.0630
_cell_angle_alpha 90.00
_cell_angle_beta 103.77
_cell_angle_gamma 90.00
loop_
_atom_site_label
_atom_site_fract_x
_atom_site_fract_y
_atom_site_fract_z
Gd1 0.1374 0.0000 0.2695
B1 0.2821 0.5000 0.5654
B2 0.5000 0.5000 0.0000
C1 0.3933 0.5000 0.7897
```



Record 4
HgIrPb: theoretical PXRD pattern (Cu Ka), based on a crystal structure in Alexandria, relaxed with PBE.
Peak positions follow from Bragg's law for the DFT cell and can differ from measured ones.

Main lines, most intense first (2θ = 10–90°):
(hkl), 2θ (°), d_spacing, I_rel
-1 2 1, 41.8, 2.162, 100
0 2 -1, 33.4, 2.681, 81
2 0 -1, 42.4, 2.130, 80
1 0 1, 30.2, 2.956, 66
1 0 -2, 30.4, 2.944, 64
1 -1 1, 32.2, 2.781, 52
1 1 -2, 32.3, 2.769, 51
1 1 1, 37.0, 2.429, 49
0 1 2, 36.8, 2.444, 45
0 1 -3, 43.8, 2.066, 44
0 0 1, 14.4, 6.135, 33
1 1 0, 28.7, 3.114, 27

Crystal structure
```
data_HgIrPb
_chemical_formula_sum 'Hg2 Ir2 Pb2'
_space_group_name_H-M_alt 'P 1'
_space_group_IT_number 1
_space_group_name_Hall 'P 1'
_cell_length_a 4.2593
_cell_length_b 5.4959
_cell_length_c 6.6261
_cell_angle_alpha 101.84
_cell_angle_beta 108.48
_cell_angle_gamma 90.11
loop_
_atom_site_label
_atom_site_fract_x
_atom_site_fract_y
_atom_site_fract_z
Hg1 0.0000 0.0000 0.0000
Hg2 0.3951 0.3893 0.7905
Ir1 0.0464 0.5147 0.0967
Ir2 0.6042 0.7584 0.2128
Pb1 0.2663 0.8276 0.5401
Pb2 0.6854 0.2899 0.3736
```



Record 5
Cs5Re6S8Cl7: theoretical PXRD pattern (Cu Ka), based on a crystal structure in Alexandria, relaxed with PBE.
Peak positions follow from Bragg's law for the DFT cell and can differ from measured ones.

Main lines, most intense first (2θ = 10–90°):
(hkl), 2θ (°), d_spacing, I_rel
0 1 2, 10.6, 8.357, 100
1 0 4, 12.0, 7.396, 61
1 1 6, 20.0, 4.433, 32
2 2 15, 43.4, 2.084, 19
1 1 9, 22.8, 3.900, 18
3 2 7, 46.6, 1.950, 15
0 1 8, 16.4, 5.413, 15
1 0 22, 37.4, 2.406, 9
4 1 9, 49.9, 1.827, 8
3 1 2, 37.1, 2.423, 7
2 1 10, 31.5, 2.840, 7
2 2 3, 35.8, 2.508, 7

Crystal structure
```
data_Cs5Re6S8Cl7
_chemical_formula_sum 'Cs30 Re36 S48 Cl42'
_space_group_name_H-M_alt 'R 3 c'
_space_group_IT_number 161
_space_group_name_Hall 'R 3 -2"c'
_cell_length_a 10.1284
_cell_length_b 10.1284
_cell_length_c 55.0403
_cell_angle_alpha 90.00
_cell_angle_beta 90.00
_cell_angle_gamma 120.00
loop_
_atom_site_label
_atom_site_fract_x
_atom_site_fract_y
_atom_site_fract_z
Cs1 0.0000 0.0000 0.0000
Cs2 0.0000 0.0000 0.1740
Cs3 0.0251 0.3529 0.2576
Re1 0.0288 0.1619 0.3604
Re2 0.1619 0.0292 0.8215
S1 0.0000 0.0000 0.2870
S2 0.0000 0.0000 0.3949
S3 0.0350 0.4214 0.9896
S4 0.0879 0.3677 0.5256
Cl1 0.0000 0.0000 0.1093
Cl2 0.0304 0.2903 0.4621
Cl3 0.0691 0.3779 0.3858
```



Record 6
Y2Ge2Bi: theoretical PXRD pattern (Cu Ka), based on a crystal structure in Alexandria, relaxed with PBE.
Peak positions follow from Bragg's law for the DFT cell and can differ from measured ones.

Main lines, most intense first (2θ = 10–90°):
(hkl), 2θ (°), d_spacing, I_rel
2 0 1, 31.7, 2.821, 100
2 1 1, 33.8, 2.649, 79
3 1 0, 36.9, 2.437, 73
3 1 2, 58.5, 1.578, 39
1 1 1, 27.0, 3.298, 33
2 2 0, 32.9, 2.724, 31
3 1 1, 43.1, 2.100, 31
5 1 1, 65.8, 1.420, 29
0 0 2, 43.7, 2.071, 27
3 3 1, 55.2, 1.663, 20
0 0 1, 21.4, 4.143, 17
1 1 0, 16.3, 5.449, 16

Crystal structure
```
data_Y2Ge2Bi
_chemical_formula_sum 'Y4 Ge4 Bi2'
_space_group_name_H-M_alt 'P 4/m b m'
_space_group_IT_number 127
_space_group_name_Hall '-P 4 2ab'
_cell_length_a 7.7059
_cell_length_b 7.7059
_cell_length_c 4.1427
_cell_angle_alpha 90.00
_cell_angle_beta 90.00
_cell_angle_gamma 90.00
loop_
_atom_site_label
_atom_site_fract_x
_atom_site_fract_y
_atom_site_fract_z
Y1 0.1784 0.3216 0.0000
Ge1 0.1171 0.6171 0.5000
Bi1 0.0000 0.0000 0.5000
```



Record 7
Ca2LaPaSe6: theoretical PXRD pattern (Cu Ka), based on a crystal structure in Alexandria, relaxed with PBE.
Peak positions follow from Bragg's law for the DFT cell and can differ from measured ones.

Main lines, most intense first (2θ = 10–90°):
(hkl), 2θ (°), d_spacing, I_rel
0 1 2, 16.5, 5.371, 100
2 -1 6, 36.6, 2.458, 91
2 -1 3, 27.7, 3.222, 80
3 0 0, 42.4, 2.133, 55
1 0 4, 22.7, 3.909, 44
0 2 4, 33.4, 2.685, 37
1 1 9, 48.2, 1.887, 31
3 -1 4, 41.6, 2.172, 31
2 2 6, 57.2, 1.611, 22
5 -1 6, 73.7, 1.286, 19
3 -2 2, 38.3, 2.350, 18
1 1 0, 24.1, 3.695, 17

Crystal structure
```
data_Ca2LaPaSe6
_chemical_formula_sum 'Ca6 La3 Pa3 Se18'
_space_group_name_H-M_alt 'R 3'
_space_group_IT_number 146
_space_group_name_Hall 'R 3'
_cell_length_a 7.3904
_cell_length_b 7.3904
_cell_length_c 19.7501
_cell_angle_alpha 90.00
_cell_angle_beta 90.00
_cell_angle_gamma 120.00
loop_
_atom_site_label
_atom_site_fract_x
_atom_site_fract_y
_atom_site_fract_z
Ca1 0.0000 0.0000 0.0000
Ca2 0.0000 0.0000 0.4926
La1 0.0000 0.0000 0.1991
Pa1 0.0000 0.0000 0.6912
Se1 0.0008 0.7084 0.6013
Se2 0.0372 0.3383 0.7655
```



Record 8
Tb4Pr3Y4: theoretical PXRD pattern (Cu Ka), based on a crystal structure in Alexandria, relaxed with PBE.
Peak positions follow from Bragg's law for the DFT cell and can differ from measured ones.

Main lines, most intense first (2θ = 10–90°):
(hkl), 2θ (°), d_spacing, I_rel
1 2 1, 30.0, 2.981, 100
0 4 0, 31.4, 2.847, 54
0 2 6, 32.8, 2.731, 42
1 1 4, 32.6, 2.748, 36
1 2 3, 33.0, 2.717, 33
0 1 5, 25.1, 3.549, 31
1 2 5, 38.3, 2.348, 24
0 3 5, 33.7, 2.662, 22
1 4 9, 61.1, 1.517, 21
0 0 6, 28.7, 3.112, 19
1 5 4, 51.5, 1.775, 18
2 2 6, 62.2, 1.492, 17

Crystal structure
```
data_Tb4Pr3Y4
_chemical_formula_sum 'Tb8 Pr6 Y8'
_space_group_name_H-M_alt 'I m m m'
_space_group_IT_number 71
_space_group_name_Hall '-I 2 2'
_cell_length_a 3.5613
_cell_length_b 11.3898
_cell_length_c 18.6740
_cell_angle_alpha 90.00
_cell_angle_beta 90.00
_cell_angle_gamma 90.00
loop_
_atom_site_label
_atom_site_fract_x
_atom_site_fract_y
_atom_site_fract_z
Tb1 0.0000 0.2465 0.1723
Pr1 0.0000 0.0000 0.3914
Pr2 0.0000 0.5000 0.5000
Y1 0.0000 0.2868 0.0000
Y2 0.0000 0.5000 0.2828
```



Record 9
RbLaTa2O7: theoretical PXRD pattern (Cu Ka), based on a crystal structure in Alexandria, relaxed with PBE.
Peak positions follow from Bragg's law for the DFT cell and can differ from measured ones.

Main lines, most intense first (2θ = 10–90°):
(hkl), 2θ (°), d_spacing, I_rel
1 0 2, 27.7, 3.225, 100
1 1 0, 32.3, 2.768, 42
2 1 2, 54.9, 1.673, 30
2 0 0, 46.4, 1.957, 23
1 0 3, 32.9, 2.724, 21
1 1 4, 45.7, 1.984, 13
1 1 5, 52.0, 1.758, 12
1 0 0, 22.7, 3.914, 11
1 0 5, 46.1, 1.967, 11
0 0 3, 23.5, 3.793, 10
2 1 3, 58.0, 1.589, 9
2 0 5, 62.6, 1.484, 8

Crystal structure
```
data_RbLaTa2O7
_chemical_formula_sum 'Rb1 La1 Ta2 O7'
_space_group_name_H-M_alt 'P 4/m m m'
_space_group_IT_number 123
_space_group_name_Hall '-P 4 2'
_cell_length_a 3.9140
_cell_length_b 3.9140
_cell_length_c 11.3777
_cell_angle_alpha 90.00
_cell_angle_beta 90.00
_cell_angle_gamma 90.00
loop_
_atom_site_label
_atom_site_fract_x
_atom_site_fract_y
_atom_site_fract_z
Rb1 0.0000 0.0000 0.0000
La1 0.0000 0.0000 0.5000
Ta1 0.5000 0.5000 0.2987
O1 0.0000 0.5000 0.3364
O2 0.5000 0.5000 0.1402
O3 0.5000 0.5000 0.5000
```